No. 1
This entry pairs a crystal structure of Tm10Ga3Te3 with its calculated XRD peak list. Radiation: a wavelength of 1.5418 Å. Structure: DFT lattice parameters and positions (GGA-PBE).
Kinematic intensities with the Lorentz-polarization factor, no thermal factor.

Structural model:
a b c (Å): 8.6706 8.6706 6.2641
angles (deg): 90.00 90.00 120.00
Space group P-62m (No. 189)
Asymmetric unit:
Tm (0.0000, 0.2391, 0.0000) [3 per cell]
Tm (0.0000, 0.7589, 0.5000) [3 per cell]
Tm (0.3333, 0.6667, 0.2415) [4 per cell]
Ga (0.0000, 0.6088, 0.0000) [3 per cell]
Te (0.0000, 0.3938, 0.5000) [3 per cell]

Main lines, by angle (2θ from 10° to 90°):
d [Å]  two_theta  I/Imax  (hkl)
3.132  28.5  13  0 0 2
2.891  30.9  27  1 0 2
2.838  31.5  39  2 1 0
2.585  34.7  100  2 1 1
2.539  35.4  79  1 1 2
2.503  35.9  39  3 0 0
1.782  51.3  22  2 2 2
1.682  54.6  28  2 1 3
1.639  56.1  14  4 1 0
1.610  57.2  18  4 0 2
1.354  69.4  15  5 0 2
1.328  71.0  16  3 0 4

***

No. 2
This entry pairs a crystal structure of YGa2Te4 with its calculated XRD peak list. Radiation: a wavelength of 1.5418 Å. Structure: DFT lattice parameters and positions (GGA-PBE).
Kinematic intensities with the Lorentz-polarization factor, no thermal factor.

Structural model:
a b c (Å): 8.169 8.169 6.989
angles (deg): 90.00 90.00 90.00
Space group I4/m (No. 87)
Asymmetric unit:
Y (0.000, 0.000, 0.000) [2 per cell]
Ga (0.000, 0.500, 0.250) [4 per cell]
Te (0.176, 0.689, 0.500) [8 per cell]

Main lines, by angle (2θ from 10° to 90°):
d [Å]  two_theta  I/Imax  (hkl)
5.776  15.3  15  1 1 0
3.494  25.5  23  0 0 2
3.238  27.6  100  1 2 1
2.888  31.0  30  2 2 0
2.655  33.8  34  2 0 2
2.077  43.6  42  3 1 2
1.964  46.2  24  1 2 3
1.925  47.2  11  3 3 0
1.906  47.7  34  4 1 1
1.747  52.4  9  0 0 4
1.509  61.4  16  4 1 3
1.300  72.7  19  5 3 2

***

Which formula does entry 2 have?
YGa2Te4